Calculated X-ray powder pattern
Compound: Pm2SmTh
Radiation: Cu Kα (λ = 1.5418 Å)
Structure: DFT lattice parameters and positions (GGA-PBE)

Cell and atoms:
Cell lengths 3.640, 3.640, 11.775 Å; angles 90.00, 90.00, 120.00 degrees
Atoms (fractional coordinates):
Pm1 0.000 0.000 0.248
Pm2 0.000 0.000 0.752
Sm1 0.667 0.333 0.500
Th1 0.333 0.667 0.000

Top 10 peaks for 2θ from 5° to 70°, low angle first:
2θ/deg  d/Å  Rel. int.  h k l
7.5  11.775  99  0 0 1
29.3  3.045  570  1 0 1
30.4  2.944  368  0 0 4
32.2  2.779  1000  1 0 2
36.6  2.458  323  1 0 3
48.2  1.887  147  1 0 5
50.1  1.820  277  1 1 0
55.1  1.666  220  1 0 6
59.7  1.548  328  1 1 4
60.8  1.522  164  2 0 2